This entry pairs a crystal structure of Sc2Si3Mo4N3 with its theoretical powder diffractogram. Radiation: Cu Ka. Structure: a structure optimized by DFT (PBE).

Crystal structure
```
24
Lattice="4.6203 -2.6867 0.0000 4.6203 2.6867 0.0000 -3.1226 0.0000 12.7602" Properties=species:S:1:pos:R:3 pbc="T T T"
Sc 2.2854 2.2441 7.7744
Sc 2.2712 2.2441 11.3659
Sc 3.8468 -2.2441 1.3943
Sc 3.8325 -2.2441 4.9858
Si -0.2467 0.7630 9.5641
Si 1.3146 -0.7630 3.1840
Si 3.8396 0.2649 3.1901
Si 2.2783 -0.2649 9.5702
Si 4.8033 0.7630 9.5763
Si 6.3646 -0.7630 3.1961
Mo 2.3833 0.4767 1.0804
Mo 2.2579 0.3681 5.2960
Mo 0.8219 -0.4767 7.4605
Mo 0.6965 -0.3681 11.6761
Mo 5.4214 0.3681 1.0842
Mo 5.2960 0.4767 5.2997
Mo 3.8601 -0.3681 7.4643
Mo 3.7347 -0.4767 11.6798
N 0.7488 1.3433 6.3801
N 3.9225 1.4623 0.0015
N 3.7568 1.4623 6.3786
N 2.3102 -1.3433 0.0000
N 2.3612 -1.4623 6.3816
N 2.1954 -1.4623 12.7587
```

Principal peaks in the range 10 to 90 degrees two-theta, sorted by position:
d/Å, Position (°2θ), I_rel
6.380, 13.88, 90
4.610, 19.25, 42
2.672, 33.54, 31
2.615, 34.29, 50
2.271, 39.68, 91
2.266, 39.79, 100
2.260, 39.89, 99
2.127, 42.51, 58
1.548, 59.72, 33
1.254, 75.90, 32

This entry pairs a crystal structure of Sc2Zn3Mo4N3 with its theoretical powder diffractogram. Radiation: Cu Ka. Structure: a structure optimized by DFT (PBE).

Crystal structure
```
24
Lattice="4.6622 -2.7070 0.0000 4.6622 2.7070 0.0000 -3.0971 0.0000 13.1982" Properties=species:S:1:pos:R:3 pbc="T T T"
Sc 2.3428 2.2543 7.9824
Sc 2.3360 2.2543 11.8150
Sc 3.8914 -2.2543 1.3833
Sc 3.8845 -2.2543 5.2158
Zn -0.1005 0.8406 9.8872
Zn 1.4481 -0.8406 3.2880
Zn 3.8880 0.3301 3.2996
Zn 2.3394 -0.3301 9.8987
Zn 4.7793 0.8406 9.9102
Zn 6.3279 -0.8406 3.3111
Mo 2.3878 0.4582 1.0191
Mo 2.3258 0.3946 5.5727
Mo 0.8392 -0.4582 7.6182
Mo 0.7772 -0.3946 12.1718
Mo 5.4501 0.3946 1.0265
Mo 5.3881 0.4582 5.5800
Mo 3.9016 -0.3946 7.6256
Mo 3.8396 -0.4582 12.1792
N 0.7826 1.3535 6.5991
N 3.9559 1.4744 0.0000
N 3.8200 1.4744 6.5991
N 2.3311 -1.3535 0.0000
N 2.4073 -1.4744 6.5991
N 5.3686 -1.4744 0.0000
```

Principal peaks in the range 10 to 90 degrees two-theta, sorted by position:
d/Å, Position (°2θ), I_rel
4.650, 19.09, 29
4.545, 19.53, 18
2.696, 33.24, 11
2.306, 39.07, 47
2.298, 39.19, 100
2.200, 41.03, 34
2.163, 41.76, 14
1.561, 59.20, 11
1.519, 61.01, 11
1.288, 73.51, 14

This entry pairs a crystal structure of SiMo2N with its theoretical powder diffractogram. Radiation: Cu Ka. Structure: a structure optimized by DFT (PBE).

Crystal structure
```
24
Lattice="4.4140 -2.6472 0.0000 4.4140 2.6472 0.0000 -3.1009 0.0000 12.7980" Properties=species:S:1:pos:R:3 pbc="T T T"
Si 2.0883 2.3876 9.5985
Si 1.9626 0.5978 3.2091
Si 0.4121 -0.5978 9.6081
Si 5.3150 0.5978 3.1899
Si 3.7646 -0.5978 9.5889
Si 3.6388 -2.3876 3.1995
Mo -0.8361 0.3513 7.5537
Mo -0.9507 0.4192 11.6329
Mo 0.7144 -0.3513 1.1547
Mo 0.5998 -0.4192 5.2339
Mo 2.0286 0.4266 7.9416
Mo 2.1481 0.4266 11.2555
Mo 3.5791 -0.4266 1.5425
Mo 3.6985 -0.4266 4.8565
Mo 5.1273 0.4192 7.5641
Mo 5.0127 0.3513 11.6433
Mo 6.6778 -0.4192 1.1651
Mo 6.5632 -0.3513 5.2443
N 0.6565 1.3236 6.3990
N 3.7723 1.1579 0.0105
N 3.5053 1.1579 6.3885
N 2.2070 -1.3236 0.0000
N 2.2218 -1.1579 6.4096
N 1.9548 -1.1579 12.7875
```

Principal peaks in the range 10 to 90 degrees two-theta, sorted by position:
d/Å, Position (°2θ), I_rel
6.399, 13.84, 42
3.200, 27.89, 48
2.647, 33.86, 31
2.572, 34.88, 37
2.527, 35.53, 28
2.249, 40.09, 89
2.213, 40.77, 91
2.192, 41.18, 100
2.133, 42.38, 31
1.513, 61.25, 43

This entry pairs a crystal structure of YTmSi2Mo2N with its theoretical powder diffractogram. Radiation: Cu Ka. Structure: a structure optimized by DFT (PBE).

Crystal structure
```
7
Lattice="5.5783 -1.8512 0.0000 5.5783 1.8512 0.0000 -4.1557 0.0000 5.7700" Properties=species:S:1:pos:R:3 pbc="T T T"
Y 0.0000 0.0000 0.0000
Tm 7.8122 0.0000 2.3725
Si 3.1041 0.0000 0.2549
Si 4.6918 0.0000 2.1166
Mo -0.0932 0.0000 3.5717
Mo 3.7423 0.0000 4.5499
N 1.8312 0.0000 4.0311
```

Principal peaks in the range 10 to 90 degrees two-theta, sorted by position:
d/Å, Position (°2θ), I_rel
5.770, 15.36, 21
3.427, 26.00, 15
2.844, 31.45, 43
2.712, 33.03, 31
2.696, 33.23, 15
2.620, 34.22, 86
2.496, 35.98, 100
2.339, 38.49, 21
2.253, 40.02, 31
1.852, 49.20, 32

This entry pairs a crystal structure of SnMo4N3 with its theoretical powder diffractogram. Radiation: Cu Ka. Structure: a structure optimized by DFT (PBE).

Crystal structure
```
16
Lattice="3.2543 0.0000 0.0000 -1.6272 2.8183 0.0000 0.0000 0.0000 22.2859" Properties=species:S:1:pos:R:3 pbc="T T T"
Sn 0.0000 1.8789 5.5715
Sn 1.6272 0.9394 16.7144
Mo 0.0000 0.0000 3.2401
Mo 0.0000 0.0000 7.9028
Mo 0.0000 0.0000 14.3831
Mo 0.0000 0.0000 19.0458
Mo 0.0000 1.8789 1.2506
Mo 0.0000 1.8789 9.8924
Mo 1.6272 0.9394 12.3935
Mo 1.6272 0.9394 21.0353
N 0.0000 0.0000 0.0000
N 0.0000 0.0000 11.1430
N 0.0000 1.8789 13.6117
N 0.0000 1.8789 19.8172
N 1.6272 0.9394 2.4687
N 1.6272 0.9394 8.6742
```

Principal peaks in the range 10 to 90 degrees two-theta, sorted by position:
d/Å, Position (°2θ), I_rel
2.796, 32.01, 44
2.515, 35.70, 73
2.382, 37.77, 100
2.245, 40.16, 77
2.229, 40.48, 37
1.645, 55.89, 23
1.627, 56.56, 57
1.386, 67.59, 14
1.344, 70.03, 16
1.314, 71.83, 52

This entry pairs a crystal structure of Zr2Sn3Mo4N3 with its theoretical powder diffractogram. Radiation: Cu Ka. Structure: a structure optimized by DFT (PBE).

Crystal structure
```
24
Lattice="4.8938 -2.8379 0.0000 4.8938 2.8379 0.0000 -3.2658 0.0000 13.4875" Properties=species:S:1:pos:R:3 pbc="T T T"
Zr 2.3869 2.3358 7.9741
Zr 2.5020 2.3358 12.2571
Zr 4.0199 -2.3358 1.2304
Zr 4.1349 -2.3358 5.5133
Sn -0.6508 0.5912 10.0898
Sn 0.9821 -0.5912 3.3461
Sn 2.4445 0.2894 10.1156
Sn 4.0774 -0.2894 3.3719
Sn 5.5398 0.5912 10.1414
Sn 7.1727 -0.5912 3.3976
Mo 2.5292 0.5210 1.0436
Mo 2.4395 0.3744 5.6987
Mo 0.8963 -0.5210 7.7874
Mo 0.8066 -0.3744 12.4424
Mo 5.7153 0.3744 1.0450
Mo 5.6255 0.5210 5.7001
Mo 4.0823 -0.3744 7.7887
Mo 3.9926 -0.5210 12.4438
N 0.8140 1.4189 6.7437
N 0.8432 1.4685 13.4834
N 4.0457 1.4685 6.7478
N 2.4469 -1.4189 0.0000
N 2.4761 -1.4685 6.7396
N 5.6787 -1.4685 0.0041
```

Principal peaks in the range 10 to 90 degrees two-theta, sorted by position:
d/Å, Position (°2θ), I_rel
2.838, 31.53, 7
2.829, 31.63, 15
2.396, 37.54, 100
2.248, 40.11, 18
1.760, 51.96, 10
1.637, 56.20, 13
1.631, 56.40, 7
1.349, 69.70, 9
1.324, 71.24, 21
1.320, 71.45, 6

> Which formula does entry 6 have?

Zr2Sn3Mo4N3

> Number 2 is which compound?

Sc2Zn3Mo4N3

> Number 4 is which compound?

YTmSi2Mo2N